For Cs2CdAg2, a cell relaxed with GGA-PBE gives the computed X-ray diffraction stick pattern in this record (Cu Kα).
Intensities are scaled so that the largest is 100.

Atomic structure:
Cell lengths 9.702, 9.702, 6.301 Å; angles 90.00, 90.00, 134.37 degrees
Atoms (fractional coordinates):
Cs1 0.075 0.925 0.750
Cs2 0.283 0.717 0.250
Cs3 0.717 0.283 0.750
Cs4 0.925 0.075 0.250
Cd1 0.500 0.500 0.000
Cd2 0.500 0.500 0.500
Ag1 0.197 0.419 0.750
Ag2 0.419 0.197 0.250
Ag3 0.581 0.803 0.750
Ag4 0.803 0.581 0.250

Principal peaks in the range 2θ = 5–70°, low angle first:
d_spacing, 2θ/deg, Rel. int.
3.754, 23.70, 100
3.038, 29.40, 59
2.879, 31.06, 25
2.695, 33.25, 26
2.613, 34.32, 26
2.054, 44.10, 23

=====

For ThGa4Pd6, a cell relaxed with GGA-PBE gives the computed X-ray diffraction stick pattern in this record (Cu Kα).
Intensities are scaled so that the largest is 100.

Atomic structure:
Cell lengths 7.364, 7.364, 3.965 Å; angles 90.00, 90.00, 120.00 degrees
Atoms (fractional coordinates):
Th1 0.000 0.000 0.000
Ga1 0.333 0.667 0.000
Ga2 0.403 0.201 0.500
Ga3 0.799 0.201 0.500
Ga4 0.799 0.597 0.500
Pd1 0.197 0.394 0.500
Pd2 0.197 0.803 0.500
Pd3 0.533 0.066 0.000
Pd4 0.533 0.467 0.000
Pd5 0.606 0.803 0.500
Pd6 0.934 0.467 0.000

Principal peaks in the range 2θ = 5–70°, low angle first:
d_spacing, 2θ/deg, Rel. int.
2.698, 33.21, 30
2.485, 36.15, 100
2.410, 37.31, 36
1.982, 45.77, 23
1.841, 49.51, 25
1.531, 60.47, 18

=====

For HfNb2H, a cell relaxed with GGA-PBE gives the computed X-ray diffraction stick pattern in this record (Cu Kα).
Intensities are scaled so that the largest is 100.

Atomic structure:
Cell lengths 3.023, 8.634, 4.647 Å; angles 90.00, 90.00, 90.00 degrees
Atoms (fractional coordinates):
Hf1 0.009 0.250 0.250
Hf2 0.991 0.750 0.750
Nb1 0.370 0.573 0.250
Nb2 0.370 0.927 0.250
Nb3 0.630 0.073 0.750
Nb4 0.630 0.427 0.750
H1 0.104 0.250 0.748
H2 0.896 0.750 0.252

Principal peaks in the range 2θ = 5–70°, low angle first:
d_spacing, 2θ/deg, Rel. int.
2.476, 36.28, 52
2.447, 36.73, 100
2.431, 36.97, 81
2.324, 38.75, 45
1.694, 54.13, 33
1.427, 65.40, 26

=====

For LiAg2HgF4, a cell relaxed with GGA-PBE gives the computed X-ray diffraction stick pattern in this record (Cu Kα).
Intensities are scaled so that the largest is 100.

Atomic structure:
Cell lengths 7.459, 7.598, 4.502 Å; angles 90.00, 90.00, 90.00 degrees
Atoms (fractional coordinates):
Li1 0.000 0.233 0.000
Li2 0.500 0.767 0.500
Ag1 0.192 0.687 0.032
Ag2 0.308 0.313 0.532
Ag3 0.692 0.313 0.532
Ag4 0.808 0.687 0.032
Hg1 0.000 0.865 0.543
Hg2 0.500 0.135 0.043
F1 0.000 0.195 0.560
F2 0.000 0.982 0.052
F3 0.209 0.370 0.036
F4 0.291 0.630 0.536
F5 0.500 0.018 0.552
F6 0.500 0.805 0.060
F7 0.709 0.630 0.536
F8 0.791 0.370 0.036

Principal peaks in the range 2θ = 5–70°, low angle first:
d_spacing, 2θ/deg, Rel. int.
5.323, 16.66, 100
3.437, 25.92, 47
3.348, 26.62, 56
2.903, 30.80, 57
2.687, 33.35, 70
2.177, 41.49, 49

=====

For Li3Zn2Pd3, a cell relaxed with GGA-PBE gives the computed X-ray diffraction stick pattern in this record (Cu Kα).
Intensities are scaled so that the largest is 100.

Atomic structure:
Cell lengths 7.022, 7.022, 2.854 Å; angles 90.00, 90.00, 120.00 degrees
Atoms (fractional coordinates):
Li1 0.000 0.753 0.000
Li2 0.247 0.247 0.000
Li3 0.753 0.000 0.000
Zn1 0.333 0.667 0.000
Zn2 0.667 0.333 0.000
Pd1 0.000 0.388 0.500
Pd2 0.388 0.000 0.500
Pd3 0.612 0.612 0.500

Principal peaks in the range 2θ = 5–70°, low angle first:
d_spacing, 2θ/deg, Rel. int.
6.082, 14.56, 67
3.511, 25.37, 68
2.215, 40.74, 100
2.081, 43.49, 27
2.027, 44.70, 35
1.687, 54.39, 22

=====

For Ba8NiAu3I4, a cell relaxed with GGA-PBE gives the computed X-ray diffraction stick pattern in this record (Cu Kα).
Intensities are scaled so that the largest is 100.

Atomic structure:
Cell lengths 10.376, 10.376, 10.376 Å; angles 53.97, 53.97, 53.97 degrees
Atoms (fractional coordinates):
Ba1 0.237 0.237 0.237
Ba2 0.247 0.729 0.729
Ba3 0.271 0.271 0.753
Ba4 0.271 0.753 0.271
Ba5 0.729 0.247 0.729
Ba6 0.729 0.729 0.247
Ba7 0.753 0.271 0.271
Ba8 0.763 0.763 0.763
Ni1 0.500 0.500 0.500
Au1 0.000 0.000 0.500
Au2 0.000 0.500 0.000
Au3 0.500 0.000 0.000
I1 0.000 0.000 0.000
I2 0.000 0.500 0.500
I3 0.500 0.000 0.500
I4 0.500 0.500 0.000

Principal peaks in the range 2θ = 5–70°, low angle first:
d_spacing, 2θ/deg, Rel. int.
3.473, 25.65, 100
2.572, 34.89, 37
2.354, 38.23, 37
1.949, 46.61, 20
1.611, 57.18, 13
1.501, 61.81, 17